[1]
Structure and simulated powder X-ray diffraction pattern of TbYCo2Si2C (DFT lattice parameters and positions (PBE); CuKα).
Intensities are scaled so that the largest is 100.

Cell and atoms:
```
data_TbYCo2Si2C
_chemical_formula_sum 'Tb2 Y2 Co4 Si4 C2'
_space_group_name_H-M_alt 'C 1 m 1'
_space_group_IT_number 8
_cell_length_a 10.5567
_cell_length_b 3.8769
_cell_length_c 6.7968
_cell_angle_alpha 90.00
_cell_angle_beta 129.59
_cell_angle_gamma 90.00
loop_
_space_group_symop_operation_xyz
'x,y,z'
'x,-y,z'
'x+1/2,y+1/2,z'
'x+1/2,-y+1/2,z'
loop_
_atom_site_label
_atom_site_type_symbol
_atom_site_fract_x
_atom_site_fract_y
_atom_site_fract_z
Tb1 Tb 0.0000 0.0000 0.0000
Y1 Y 0.1272 0.0000 0.5940
Co1 Co 0.2624 0.5000 0.3848
Co2 Co 0.3647 0.0000 0.2091
Si1 Si 0.2197 0.5000 0.0009
Si2 Si 0.4073 0.0000 0.5928
C1 C 0.0635 0.5000 0.2971
```

Most intense lines, 2θ from 15° to 90°, in order of rising 2θ:
2θ 25.5, rel. 40, (1 1 0)
2θ 26.2, rel. 22, (2 0 -2)
2θ 34.5, rel. 47, (4 0 -2)
2θ 34.7, rel. 78, (3 1 -1)
2θ 35.5, rel. 30, (2 0 1)
2θ 35.8, rel. 27, (4 0 -1)
2θ 36.8, rel. 100, (1 1 -2)
2θ 40.6, rel. 32, (3 1 0)
2θ 41.5, rel. 28, (4 0 -3)
2θ 46.9, rel. 34, (0 2 0)

[2]
Structure and simulated powder X-ray diffraction pattern of Zr2Bi2OsPd (DFT lattice parameters and positions (PBE); CuKα).
Intensities are scaled so that the largest is 100.

Cell and atoms:
```
data_Zr2Bi2OsPd
_chemical_formula_sum 'Zr8 Bi8 Os4 Pd4'
_space_group_name_H-M_alt 'I -4 2 d'
_space_group_IT_number 122
_space_group_name_Hall 'I -4 2bw'
_cell_length_a 6.5020
_cell_length_b 6.5020
_cell_length_c 12.9579
_cell_angle_alpha 90.00
_cell_angle_beta 90.00
_cell_angle_gamma 90.00
loop_
_atom_site_label
_atom_site_type_symbol
_atom_site_fract_x
_atom_site_fract_y
_atom_site_fract_z
Zr1 Zr 0.2419 0.7500 0.1250
Bi1 Bi 0.2495 0.2500 0.1250
Os1 Os 0.0000 0.0000 0.0000
Pd1 Pd 0.0000 0.0000 0.5000
```

Most intense lines, 2θ from 15° to 90°, in order of rising 2θ:
2θ 23.7, rel. 42, (1 1 2)
2θ 27.5, rel. 15, (0 0 4)
2θ 39.2, rel. 100, (2 2 0)
2θ 46.3, rel. 15, (3 1 2)
2θ 46.5, rel. 7, (1 1 6)
2θ 56.6, rel. 11, (4 0 0)
2θ 62.4, rel. 6, (3 1 6)
2θ 71.1, rel. 23, (4 2 4)
2θ 71.2, rel. 12, (2 2 8)
2θ 84.4, rel. 8, (4 0 8)

[3]
Structure and simulated powder X-ray diffraction pattern of ZnCd (DFT lattice parameters and positions (PBE); CuKα).
Intensities are scaled so that the largest is 100.

Cell and atoms:
```
data_ZnCd
_chemical_formula_sum 'Zn1 Cd1'
_space_group_name_H-M_alt 'P -6 m 2'
_space_group_IT_number 187
_space_group_name_Hall 'P -6 2'
_cell_length_a 3.0103
_cell_length_b 3.0103
_cell_length_c 4.6761
_cell_angle_alpha 90.00
_cell_angle_beta 90.00
_cell_angle_gamma 120.00
loop_
_atom_site_label
_atom_site_type_symbol
_atom_site_fract_x
_atom_site_fract_y
_atom_site_fract_z
Zn1 Zn 0.0000 0.0000 0.0000
Cd1 Cd 0.3333 0.6667 0.5000
```

Most intense lines, 2θ from 15° to 90°, in order of rising 2θ:
2θ 19.0, rel. 8, (0 0 1)
2θ 34.4, rel. 28, (1 0 0)
2θ 38.5, rel. 24, (0 0 2)
2θ 39.6, rel. 100, (1 0 1)
2θ 52.6, rel. 16, (1 0 2)
2θ 61.6, rel. 17, (1 1 0)
2θ 70.4, rel. 17, (1 0 3)
2θ 75.1, rel. 18, (1 1 2)
2θ 75.8, rel. 14, (2 0 1)
2θ 85.2, rel. 4, (2 0 2)

[4]
Structure and simulated powder X-ray diffraction pattern of DyHoInNi2 (DFT lattice parameters and positions (PBE); CuKα).
Intensities are scaled so that the largest is 100.

Cell and atoms:
```
data_DyHoInNi2
_chemical_formula_sum 'Dy2 Ho2 In2 Ni4'
_space_group_name_H-M_alt 'A m m 2'
_space_group_IT_number 38
_cell_length_a 3.6300
_cell_length_b 3.8965
_cell_length_c 14.2092
_cell_angle_alpha 90.00
_cell_angle_beta 90.00
_cell_angle_gamma 90.00
loop_
_space_group_symop_operation_xyz
'x,y,z'
'-x,-y,z'
'-x,y,z'
'x,-y,z'
'x,y+1/2,z+1/2'
'-x,-y+1/2,z+1/2'
'-x,y+1/2,z+1/2'
'x,-y+1/2,z+1/2'
loop_
_atom_site_label
_atom_site_type_symbol
_atom_site_fract_x
_atom_site_fract_y
_atom_site_fract_z
Dy1 Dy 0.0000 0.0000 0.0000
Ho1 Ho 0.0000 0.0000 0.7227
In1 In 0.5000 0.0000 0.3611
Ni1 Ni 0.5000 0.0000 0.1631
Ni2 Ni 0.5000 0.0000 0.5601
```

Most intense lines, 2θ from 15° to 90°, in order of rising 2θ:
2θ 29.7, rel. 45, (0 1 3)
2θ 34.3, rel. 100, (1 1 1)
2θ 35.4, rel. 72, (1 0 4)
2θ 38.0, rel. 15, (0 0 6)
2θ 38.9, rel. 39, (1 1 3)
2θ 39.2, rel. 33, (0 1 5)
2θ 46.6, rel. 25, (0 2 0)
2θ 50.3, rel. 20, (2 0 0)
2θ 57.1, rel. 20, (1 1 7)
2θ 59.8, rel. 31, (1 2 4)

[5]
Structure and simulated powder X-ray diffraction pattern of Na2Nb4O11 (DFT lattice parameters and positions (PBE); CuKα).
Intensities are scaled so that the largest is 100.

Cell and atoms:
```
data_Na2Nb4O11
_chemical_formula_sum 'Na12 Nb24 O66'
_space_group_name_H-M_alt 'R -3 c'
_space_group_IT_number 167
_space_group_name_Hall '-R 3 2"c'
_cell_length_a 6.2366
_cell_length_b 6.2366
_cell_length_c 36.8081
_cell_angle_alpha 90.00
_cell_angle_beta 90.00
_cell_angle_gamma 120.00
loop_
_atom_site_label
_atom_site_type_symbol
_atom_site_fract_x
_atom_site_fract_y
_atom_site_fract_z
Na1 Na 0.0000 0.0000 0.1678
Nb1 Nb 0.0000 0.0000 0.0000
Nb2 Nb 0.0000 0.3655 0.2500
O1 O 0.0000 0.0000 0.0950
O2 O 0.0000 0.2501 0.7500
O3 O 0.0297 0.2803 0.5302
```

Most intense lines, 2θ from 15° to 90°, in order of rising 2θ:
2θ 17.1, rel. 53, (0 1 2)
2θ 29.1, rel. 57, (0 0 12)
2θ 29.6, rel. 100, (1 1 3)
2θ 32.2, rel. 86, (1 1 6)
2θ 36.2, rel. 18, (1 1 9)
2θ 47.1, rel. 23, (1 1 15)
2θ 50.7, rel. 42, (3 0 0)
2θ 53.6, rel. 31, (1 1 18)
2θ 59.5, rel. 36, (0 3 12)
2θ 60.6, rel. 14, (1 1 21)

[6]
Structure and simulated powder X-ray diffraction pattern of Mg6TlZn (DFT lattice parameters and positions (PBE); CuKα).
Intensities are scaled so that the largest is 100.

Cell and atoms:
```
data_Mg6TlZn
_chemical_formula_sum 'Mg6 Tl1 Zn1'
_space_group_name_H-M_alt 'P -1'
_space_group_IT_number 2
_cell_length_a 5.5518
_cell_length_b 5.5621
_cell_length_c 5.5671
_cell_angle_alpha 88.67
_cell_angle_beta 88.58
_cell_angle_gamma 88.72
loop_
_space_group_symop_operation_xyz
'x,y,z'
'-x,-y,-z'
loop_
_atom_site_label
_atom_site_type_symbol
_atom_site_fract_x
_atom_site_fract_y
_atom_site_fract_z
Mg1 Mg 0.0022 0.0079 0.2458
Mg2 Mg 0.2462 0.5025 0.5090
Mg3 Mg 0.4912 0.2541 0.9976
Tl1 Tl 0.5000 0.0000 0.5000
Zn1 Zn 0.0000 0.5000 0.0000
```

Most intense lines, 2θ from 15° to 90°, in order of rising 2θ:
2θ 15.9, rel. 69, (1 0 0)
2θ 22.4, rel. 100, (1 0 1)
2θ 22.9, rel. 91, (0 1 -1)
2θ 32.2, rel. 86, (2 0 0)
2θ 35.8, rel. 23, (1 0 2)
2θ 36.5, rel. 30, (0 2 -1)
2θ 38.9, rel. 51, (1 2 1)
2θ 39.9, rel. 81, (2 -1 1)
2θ 40.2, rel. 49, (1 1 -2)
2θ 61.3, rel. 23, (3 1 2)

[7]
Structure and simulated powder X-ray diffraction pattern of BaSrCdAsP (DFT lattice parameters and positions (PBE); CuKα).
Intensities are scaled so that the largest is 100.

Cell and atoms:
```
data_BaSrCdAsP
_chemical_formula_sum 'Ba4 Sr4 Cd4 As4 P4'
_space_group_name_H-M_alt 'C m c 21'
_space_group_IT_number 36
_cell_length_a 4.5017
_cell_length_b 17.5701
_cell_length_c 7.5216
_cell_angle_alpha 90.00
_cell_angle_beta 90.00
_cell_angle_gamma 90.00
loop_
_space_group_symop_operation_xyz
'x,y,z'
'-x,-y,z+1/2'
'-x,y,z'
'x,-y,z+1/2'
'x+1/2,y+1/2,z'
'-x+1/2,-y+1/2,z+1/2'
'-x+1/2,y+1/2,z'
'x+1/2,-y+1/2,z+1/2'
loop_
_atom_site_label
_atom_site_type_symbol
_atom_site_fract_x
_atom_site_fract_y
_atom_site_fract_z
Ba1 Ba 0.0000 0.1990 0.0000
Sr1 Sr 0.0000 0.0306 0.6783
Cd1 Cd 0.0000 0.4076 0.8347
As1 As 0.0000 0.1695 0.4326
P1 P 0.0000 0.4435 0.4725
```

Most intense lines, 2θ from 15° to 90°, in order of rising 2θ:
2θ 15.5, rel. 40, (0 2 1)
2θ 23.6, rel. 47, (0 0 2)
2θ 25.8, rel. 54, (0 2 2)
2θ 27.7, rel. 58, (1 3 1)
2θ 31.4, rel. 53, (0 4 2)
2θ 32.3, rel. 100, (1 5 0)
2θ 34.6, rel. 88, (1 3 2)
2θ 37.3, rel. 28, (0 2 3)
2θ 40.1, rel. 45, (2 0 0)
2θ 55.7, rel. 23, (1 7 3)

[8]
Structure and simulated powder X-ray diffraction pattern of Sc2FeSiSn (DFT lattice parameters and positions (PBE); CuKα).
Intensities are scaled so that the largest is 100.

Cell and atoms:
```
data_Sc2FeSiSn
_chemical_formula_sum 'Sc8 Fe4 Si4 Sn4'
_space_group_name_H-M_alt 'C 1 2/m 1'
_space_group_IT_number 12
_cell_length_a 10.2208
_cell_length_b 4.0680
_cell_length_c 10.0180
_cell_angle_alpha 90.00
_cell_angle_beta 118.55
_cell_angle_gamma 90.00
loop_
_space_group_symop_operation_xyz
'x,y,z'
'-x,-y,-z'
'-x,y,-z'
'x,-y,z'
'x+1/2,y+1/2,z'
'-x+1/2,-y+1/2,-z'
'-x+1/2,y+1/2,-z'
'x+1/2,-y+1/2,z'
loop_
_atom_site_label
_atom_site_type_symbol
_atom_site_fract_x
_atom_site_fract_y
_atom_site_fract_z
Sc1 Sc 0.0014 0.0000 0.3476
Sc2 Sc 0.1878 0.0000 0.1287
Fe1 Fe 0.2374 0.5000 0.3851
Si1 Si 0.1483 0.5000 0.5628
Sn1 Sn 0.0237 0.5000 0.8686
```

Most intense lines, 2θ from 15° to 90°, in order of rising 2θ:
2θ 17.4, rel. 36, (2 0 -1)
2θ 24.0, rel. 37, (1 1 0)
2θ 27.9, rel. 33, (1 1 1)
2θ 28.3, rel. 27, (1 1 -2)
2θ 34.6, rel. 55, (1 1 2)
2θ 35.1, rel. 66, (4 0 -2)
2θ 38.1, rel. 100, (3 1 -3)
2θ 41.0, rel. 48, (0 0 4)
2θ 42.5, rel. 71, (3 1 1)
2θ 44.5, rel. 51, (0 2 0)